Starting from a cell relaxed with GGA-PBE, the powder X-ray diffraction pattern of La2Zr3Ge4 was simulated for Cu Kα (λ = 1.5418 Å).
Neutral-atom scattering factors, no anomalous dispersion.

Unit cell a=7.605 b=7.608 c=7.451 alpha=90.00 beta=109.15 gamma=90.00
Atoms (fractional coordinates):
La  0.187  0.169  0.066
La  0.187  0.331  0.566
La  0.813  0.669  0.434
La  0.813  0.831  0.934
Zr  0.256  0.671  0.251
Zr  0.256  0.829  0.751
Zr  0.500  0.000  0.500
Zr  0.500  0.500  0.000
Zr  0.744  0.171  0.249
Zr  0.744  0.329  0.749
Ge  0.089  0.540  0.867
Ge  0.089  0.960  0.367
Ge  0.494  0.133  0.863
Ge  0.494  0.367  0.363
Ge  0.506  0.633  0.637
Ge  0.506  0.867  0.137
Ge  0.911  0.040  0.633
Ge  0.911  0.460  0.133

Largest 8 diffraction maxima, sorted by position, 10 to 90 degrees two-theta:
hkl	two_theta	Rel. int.
1 2 1	31.20	32
2 1 -2	31.45	32
2 2 -1	33.64	100
1 1 2	33.94	92
2 2 0	34.34	27
3 0 0	37.56	23
0 3 1	37.70	49
1 1 -3	38.12	53